Starting from a crystal structure in Alexandria, relaxed with GGA-PBE, the powder XRD pattern of Mn5Sn3Br16 was calculated for Cu Kα (weighted mean of Kα1 and Kα2).
Peak positions follow from Bragg's law for the DFT cell and can differ from measured ones.

Crystal structure
abc: 14.5444 8.1424 12.7016
angles: 90.00 91.15 90.00
Space group Cm (No. 8)
One atom of each set of equivalent atoms:
Mn (0.0000, 0.0000, 0.0000) [2 per cell]
Mn (0.0139, 0.5000, 0.2484) [2 per cell]
Mn (0.0906, 0.2526, 0.5090) [4 per cell]
Mn (0.3439, 0.5000, 0.7356) [2 per cell]
Sn (0.2559, 0.2481, 0.0090) [4 per cell]
Sn (0.3460, 0.0000, 0.5078) [2 per cell]
Br (0.0033, 0.0000, 0.6198) [2 per cell]
Br (0.0247, 0.5000, 0.6269) [2 per cell]
Br (0.0785, 0.2524, 0.1220) [4 per cell]
Br (0.1481, 0.0000, 0.8827) [2 per cell]
Br (0.1591, 0.5000, 0.3790) [2 per cell]
Br (0.1606, 0.0000, 0.4001) [2 per cell]
Br (0.1880, 0.5000, 0.8641) [2 per cell]
Br (0.2503, 0.2660, 0.6268) [4 per cell]
Br (0.3522, 0.0000, 0.1519) [2 per cell]
Br (0.3594, 0.5000, 0.1313) [2 per cell]
Br (0.4187, 0.2755, 0.8672) [4 per cell]
Br (0.4459, 0.2397, 0.3764) [4 per cell]

Largest 12 diffraction maxima, in order of rising 2θ, 10 to 90 degrees two-theta:
hkl 0 0 2, 2θ = 13.9°, I 55
hkl 1 1 -1, 2θ = 14.2°, I 41
hkl 4 0 -2, 2θ = 28.1°, I 66
hkl 4 0 2, 2θ = 28.5°, I 33
hkl 2 2 -2, 2θ = 28.7°, I 75
hkl 2 2 2, 2θ = 28.9°, I 100
hkl 4 0 3, 2θ = 32.8°, I 89
hkl 2 2 3, 2θ = 33.1°, I 58
hkl 6 2 0, 2θ = 43.5°, I 85
hkl 2 2 -5, 2θ = 43.6°, I 34
hkl 0 4 0, 2θ = 44.5°, I 47
hkl 0 4 8, 2θ = 76.0°, I 30